[1]
Starting from a DFT-relaxed cell (PBE, Alexandria), the XRD peak list of Pm2TiReN5 was computed for Cu Kα (λ = 1.5418 Å).
Neutral-atom scattering factors, no anomalous dispersion.

Structure:
```
Pm2TiReN5
1.0
3.3538 0.0000 0.0000
0.0000 10.3797 0.0000
-1.5676 0.0000 6.6683
Pm Ti Re N
4 2 2 10
direct
0.1073 0.0000 0.2225
0.1281 0.3847 0.2970
0.8719 0.8847 0.7030
0.8927 0.5000 0.7775
0.2855 0.6707 0.4389
0.7145 0.1707 0.5611
0.4590 0.2287 0.9383
0.5410 0.7287 0.0617
0.0547 0.6433 0.0967
0.3050 0.0358 0.5669
0.3352 0.3028 0.6442
0.3922 0.6867 0.7295
0.4959 0.9016 0.9800
0.5041 0.4016 0.0200
0.6078 0.1867 0.2705
0.6648 0.8028 0.3558
0.6950 0.5358 0.4331
0.9453 0.1433 0.9033
```

Most intense lines, 2θ from 10° to 90°, sorted by position:
| 2θ/deg | I_rel | hkl |
| --- | --- | --- |
| 29.08 | 100 | 0 3 1 |
| 31.90 | 88 | 0 2 2 |
| 32.40 | 90 | 1 2 0 |
| 32.58 | 66 | 1 2 -1 |
| 33.20 | 41 | 1 0 1 |
| 33.74 | 56 | 1 0 -2 |
| 38.05 | 39 | 1 3 -1 |
| 41.55 | 41 | 0 1 3 |

[2]
Starting from a DFT-relaxed cell (PBE, Alexandria), the XRD peak list of La3Pm4 was computed for Cu Kα (λ = 1.5418 Å).
Neutral-atom scattering factors, no anomalous dispersion.

Structure:
```
La3Pm4
1.0
11.6786 0.0000 0.0000
0.0000 5.2315 0.0000
-1.1632 0.0000 8.1608
La Pm
6 8
direct
0.0000 0.0000 0.0000
0.2140 0.5000 0.1443
0.2860 0.0000 0.8557
0.5000 0.5000 0.0000
0.7140 0.0000 0.1443
0.7860 0.5000 0.8557
0.0728 0.5000 0.7101
0.1419 0.0000 0.4293
0.3581 0.5000 0.5707
0.4272 0.0000 0.2899
0.5728 0.0000 0.7101
0.6419 0.5000 0.4293
0.8581 0.0000 0.5707
0.9272 0.5000 0.2899
```

Most intense lines, 2θ from 10° to 90°, sorted by position:
| 2θ/deg | I_rel | hkl |
| --- | --- | --- |
| 29.63 | 100 | 1 1 2 |
| 34.31 | 34 | 4 0 1 |
| 34.40 | 17 | 2 0 -3 |
| 49.34 | 30 | 4 2 1 |
| 58.57 | 22 | 7 1 0 |
| 58.68 | 22 | 5 1 3 |
| 61.51 | 12 | 2 2 4 |
| 80.06 | 12 | 7 3 0 |

[3]
Starting from a DFT-relaxed cell (PBE, Alexandria), the XRD peak list of Ba2BeTePd was computed for Cu Kα (λ = 1.5418 Å).
Neutral-atom scattering factors, no anomalous dispersion.

Structure:
```
Ba2BeTePd
1.0
6.1285 0.0000 0.0000
0.0000 6.1285 0.0000
0.0000 0.0000 4.4342
Ba Be Te Pd
2 1 1 1
direct
0.0000 0.5000 0.0000
0.5000 0.0000 0.0000
0.0000 0.0000 0.5000
0.5000 0.5000 0.5000
0.0000 0.0000 0.0000
```

Most intense lines, 2θ from 10° to 90°, sorted by position:
| 2θ/deg | I_rel | hkl |
| --- | --- | --- |
| 20.02 | 29 | 0 0 1 |
| 24.78 | 61 | 1 0 1 |
| 28.81 | 66 | 1 1 1 |
| 29.14 | 100 | 2 0 0 |
| 35.61 | 27 | 2 0 1 |
| 38.62 | 38 | 2 1 1 |
| 41.68 | 37 | 2 2 0 |
| 50.83 | 42 | 2 0 2 |